1.
The following is a simulated powder diffraction line list of La3ZnPt8. It was derived from the PBE geometry in OQMD, using Cu Ka.
Kinematic intensities with the Lorentz-polarization factor, no thermal factor.

Structure:
```
data_La3ZnPt8
_space_group_name_H-M_alt 'R 3 m'
_space_group_IT_number 160
_space_group_name_Hall 'R 3 -2"'
_cell_length_a 5.5126
_cell_length_b 5.5126
_cell_length_c 26.9265
_cell_angle_alpha 90.00
_cell_angle_beta 90.00
_cell_angle_gamma 120.00
loop_
_atom_site_label
_atom_site_fract_x
_atom_site_fract_y
_atom_site_fract_z
La1 0.0000 0.0000 0.0000
La2 0.0000 0.0000 0.1298
La3 0.0000 0.0000 0.6108
Zn1 0.0000 0.0000 0.4807
Pt1 0.0000 0.0000 0.3107
Pt2 0.0000 0.0000 0.8114
Pt3 0.9996 0.4998 0.0608
Pt4 0.0028 0.5014 0.5608
```

Largest 10 diffraction maxima, most intense first, 10° ≤ 2θ ≤ 80°:
2θ = 38.3°, rel. 100.0
2θ = 40.1°, rel. 44.3
2θ = 19.7°, rel. 28.2
2θ = 61.9°, rel. 24.1
2θ = 68.0°, rel. 16.3
2θ = 46.6°, rel. 15.5
2θ = 40.2°, rel. 14.9
2θ = 32.5°, rel. 13.9
2θ = 68.2°, rel. 13.1
2θ = 62.0°, rel. 6.8



2.
The following is a simulated powder diffraction line list of RbLaSmS3. It was derived from the PBE geometry in OQMD, using Cu Ka.
Kinematic intensities with the Lorentz-polarization factor, no thermal factor.

Structure:
```
data_RbLaSmS3
_space_group_name_H-M_alt 'C m c m'
_space_group_IT_number 63
_space_group_name_Hall '-C 2c 2'
_cell_length_a 4.8634
_cell_length_b 15.4313
_cell_length_c 10.5056
_cell_angle_alpha 90.00
_cell_angle_beta 90.00
_cell_angle_gamma 90.00
loop_
_atom_site_label
_atom_site_fract_x
_atom_site_fract_y
_atom_site_fract_z
Rb1 0.0000 0.2428 0.2500
La1 0.0000 0.0107 0.7500
Sm1 0.0000 0.5000 0.0000
S1 0.0000 0.1103 0.5278
S2 0.0000 0.4293 0.7500
```

Largest 10 diffraction maxima, most intense first, 10° ≤ 2θ ≤ 80°:
2θ = 11.5°, rel. 100.0
2θ = 30.5°, rel. 63.8
2θ = 38.6°, rel. 54.8
2θ = 25.6°, rel. 49.6
2θ = 23.1°, rel. 32.1
2θ = 34.1°, rel. 28.4
2θ = 26.6°, rel. 26.0
2θ = 37.0°, rel. 24.2
2θ = 36.1°, rel. 18.5
2θ = 51.2°, rel. 17.4